Simulated powder diffraction line list of MnSeCl for Cu Kα (weighted mean of Kα1 and Kα2), from DFT lattice parameters and positions (GGA-PBE).

Most intense lines, 10° ≤ 2θ ≤ 90°, in order of rising 2θ:
d = 6.740 Å, 13.14 deg, I = 96, (0 0 1); d = 2.801 Å, 31.95 deg, I = 100, (1 0 1); d = 2.273 Å, 39.65 deg, I = 66, (1 0 2); d = 1.815 Å, 50.27 deg, I = 33, (0 1 3); d = 1.778 Å, 51.39 deg, I = 29, (1 1 0); d = 1.719 Å, 53.29 deg, I = 15, (1 1 1); d = 1.501 Å, 61.80 deg, I = 14, (0 2 1); d = 1.400 Å, 66.80 deg, I = 13, (0 2 2); d = 1.270 Å, 74.74 deg, I = 10, (2 0 3); d = 1.223 Å, 78.15 deg, I = 11, (1 1 4); d = 1.147 Å, 84.46 deg, I = 11, (2 1 1); d = 1.100 Å, 88.97 deg, I = 12, (2 1 2)

Crystal structure
a = 3.556 Å, b = 3.556 Å, c = 6.740 Å
α = 90.00°, β = 90.00°, γ = 120.00°
Element x y z (fractional)
Mn 0.000 0.000 0.000
Se 0.667 0.333 0.217
Cl 0.333 0.667 0.779